Starting from a PBE-relaxed structure, the powder XRD pattern of Li12Cu6Pd was simulated for Cu Kα.

Crystal structure
```
data_Li12Cu6Pd
_symmetry_space_group_name_H-M 'P 1'
_symmetry_Int_Tables_number 1
_symmetry_space_group_name_Hall 'P 1'
_cell_length_a 6.613
_cell_length_b 6.613
_cell_length_c 6.613
_cell_angle_alpha 89.33
_cell_angle_beta 89.33
_cell_angle_gamma 89.33
loop_
_atom_site_label
_atom_site_type_symbol
_atom_site_fract_x
_atom_site_fract_y
_atom_site_fract_z
Li1 Li 0.027 0.926 0.307
Li2 Li 0.074 0.693 0.973
Li3 Li 0.125 0.472 0.350
Li4 Li 0.307 0.027 0.926
Li5 Li 0.350 0.125 0.472
Li6 Li 0.472 0.350 0.125
Li7 Li 0.528 0.650 0.875
Li8 Li 0.650 0.875 0.528
Li9 Li 0.693 0.973 0.074
Li10 Li 0.875 0.528 0.650
Li11 Li 0.926 0.307 0.027
Li12 Li 0.973 0.074 0.693
Cu1 Cu 0.229 0.758 0.608
Cu2 Cu 0.242 0.392 0.771
Cu3 Cu 0.392 0.771 0.242
Cu4 Cu 0.608 0.229 0.758
Cu5 Cu 0.758 0.608 0.229
Cu6 Cu 0.771 0.242 0.392
Pd1 Pd 0.500 0.500 0.500
```

Peak list (6 most intense, 2θ from 10° to 80°, in order of rising 2θ)
d = 6.612 Å, rel. 100
d = 4.703 Å, rel. 65
d = 3.862 Å, rel. 51
d = 2.193 Å, rel. 55
d = 2.098 Å, rel. 17
d = 2.084 Å, rel. 39

---

Starting from a PBE-relaxed structure, the powder XRD pattern of Cs3Tl2I2Br3 was simulated for Cu Kα.

Crystal structure
```
data_Cs3Tl2I2Br3
_symmetry_space_group_name_H-M 'P 1'
_symmetry_Int_Tables_number 1
_symmetry_space_group_name_Hall 'P 1'
_cell_length_a 18.289
_cell_length_b 18.289
_cell_length_c 18.289
_cell_angle_alpha 162.30
_cell_angle_beta 162.30
_cell_angle_gamma 25.14
loop_
_atom_site_label
_atom_site_type_symbol
_atom_site_fract_x
_atom_site_fract_y
_atom_site_fract_z
Cs1 Cs 0.000 0.000 0.000
Cs2 Cs 0.399 0.399 0.000
Cs3 Cs 0.601 0.601 0.000
Tl1 Tl 0.201 0.201 0.000
Tl2 Tl 0.799 0.799 0.000
I1 I 0.250 0.750 0.500
I2 I 0.750 0.250 0.500
Br1 Br 0.099 0.099 0.000
Br2 Br 0.500 0.500 0.000
Br3 Br 0.901 0.901 0.000
```

Peak list (6 most intense, 2θ from 10° to 80°, in order of rising 2θ)
d = 4.420 Å, rel. 64
d = 3.980 Å, rel. 53
d = 2.814 Å, rel. 59
d = 2.658 Å, rel. 100
d = 2.374 Å, rel. 26
d = 1.593 Å, rel. 42

---

Starting from a PBE-relaxed structure, the powder XRD pattern of LiZrTl was simulated for Cu Kα.

Crystal structure
```
data_LiZrTl
_symmetry_space_group_name_H-M 'P 1'
_symmetry_Int_Tables_number 1
_symmetry_space_group_name_Hall 'P 1'
_cell_length_a 3.243
_cell_length_b 3.243
_cell_length_c 12.018
_cell_angle_alpha 90.00
_cell_angle_beta 90.00
_cell_angle_gamma 90.00
loop_
_atom_site_label
_atom_site_type_symbol
_atom_site_fract_x
_atom_site_fract_y
_atom_site_fract_z
Li1 Li 0.250 0.250 0.069
Li2 Li 0.750 0.750 0.931
Zr1 Zr 0.250 0.250 0.408
Zr2 Zr 0.750 0.750 0.592
Tl1 Tl 0.250 0.250 0.789
Tl2 Tl 0.750 0.750 0.211
```

Peak list (6 most intense, 2θ from 10° to 80°, in order of rising 2θ)
d = 6.009 Å, rel. 62
d = 3.131 Å, rel. 58
d = 2.854 Å, rel. 73
d = 2.521 Å, rel. 100
d = 2.293 Å, rel. 57
d = 1.363 Å, rel. 48